# Ac3Ge2Rh4
Calculated powder diffraction line list, λ = 1.5418 Å (Cu Kα). Input: a crystal structure in Alexandria, relaxed with PBE.

Structure:
a b c (Å): 11.5396 4.3248 9.0877
angles (deg): 90.00 111.38 90.00
Space group C2/m (No. 12)
Inequivalent atoms, fractional coordinates:
Ac1 0.0000 0.0000 0.0000
Ac2 0.1325 0.5000 0.6934
Ge1 0.1500 0.5000 0.3052
Rh1 0.1561 0.0000 0.4386
Rh2 0.2166 0.5000 0.0700

Main lines, low angle first (15° ≤ 2θ ≤ 90°):
- 2θ 23.2, d 3.833, I = 33, hkl 1 1 -1
- 2θ 31.2, d 2.871, I = 49, hkl 3 1 -1
- 2θ 31.7, d 2.821, I = 28, hkl 0 0 3
- 2θ 32.5, d 2.759, I = 42, hkl 3 1 0
- 2θ 32.8, d 2.732, I = 100, hkl 1 1 2
- 2θ 38.7, d 2.326, I = 71, hkl 3 1 -3
- 2θ 41.8, d 2.162, I = 40, hkl 0 2 0
- 2θ 46.2, d 1.966, I = 23, hkl 4 0 2